Entry 1:
Theoretical X-ray powder pattern of Ti9Se2 for Cu Kα (weighted mean of Kα1 and Kα2), from the PBE geometry in the Materials Project.

Principal peaks in the range 2θ from 10° to 90°, in order of falling intensity:
2theta	I_rel
38.8	100.0
41.3	98.4
37.2	90.9
42.9	32.6
52.9	29.9
43.4	21.3

Cell lengths 6.833, 15.510, 3.460 Å; angles 90.00, 90.00, 90.00 degrees
Space group Pbam (No. 55)
Asymmetric unit:
Ti (0.000, 0.000, 0.000) x2
Ti (0.096, 0.140, 0.500) x4
Ti (0.111, 0.577, 0.000) x4
Ti (0.219, 0.443, 0.500) x4
Ti (0.222, 0.790, 0.000) x4
Se (0.019, 0.697, 0.500) x4

***

Entry 2:
Theoretical X-ray powder pattern of TiSe for Cu Kα (weighted mean of Kα1 and Kα2), from the PBE geometry in the Materials Project.

Principal peaks in the range 2θ from 10° to 90°, in order of falling intensity:
2theta	I_rel
26.0	100.0
43.0	62.8
14.8	45.8
43.3	31.1
51.2	30.0
79.3	19.5

Cell lengths 4.178, 4.178, 5.984 Å; angles 90.00, 90.00, 90.00 degrees
Space group P4/nmm (No. 129, origin choice 2)
Asymmetric unit:
Ti (0.250, 0.750, 0.000) x2
Se (0.250, 0.250, 0.239) x2

***

Entry 3:
Theoretical X-ray powder pattern of Ti19Se20 for Cu Kα (weighted mean of Kα1 and Kα2), from the PBE geometry in the Materials Project.

Principal peaks in the range 2θ from 10° to 90°, in order of falling intensity:
2theta	I_rel
40.4	100.0
32.8	94.7
53.0	56.6
32.7	52.4
79.7	20.6
51.1	20.3

Cell lengths 6.919, 9.633, 11.325 Å; angles 91.53, 98.80, 111.02 degrees
Space group P-1 (No. 2)
Asymmetric unit:
Ti (0.000, 0.000, 0.000) x1
Ti (0.000, 0.500, 0.000) x1
Ti (0.098, 0.397, 0.608) x2
Ti (0.099, 0.897, 0.606) x2
Ti (0.191, 0.287, 0.209) x2
Ti (0.192, 0.781, 0.203) x2
Ti (0.299, 0.712, 0.792) x2
Ti (0.308, 0.213, 0.802) x2
Ti (0.398, 0.102, 0.395) x2
Ti (0.398, 0.604, 0.392) x2
Ti (0.500, 0.000, 0.000) x1
Se (0.036, 0.385, 0.371) x2
Se (0.061, 0.005, 0.232) x2
Se (0.133, 0.784, 0.965) x2
Se (0.179, 0.428, 0.839) x2
Se (0.232, 0.182, 0.567) x2
Se (0.268, 0.819, 0.435) x2
Se (0.332, 0.571, 0.161) x2
Se (0.368, 0.218, 0.036) x2
Se (0.440, 0.994, 0.767) x2
Se (0.465, 0.616, 0.630) x2